The following is a computed X-ray diffraction stick pattern of Ta9Fe2S6. It was derived from a structure optimized by DFT (GGA-PBE), using Cu Kα (weighted mean of Kα1 and Kα2).
Neutral-atom scattering factors, no anomalous dispersion.

Atomic structure:
Unit cell a=10.356 b=10.356 c=3.318 alpha=90.00 beta=90.00 gamma=120.00
Positions (direct):
Ta 0.000 0.458 0.000
Ta 0.201 0.738 0.500
Ta 0.262 0.463 0.500
Ta 0.458 0.000 0.000
Ta 0.463 0.262 0.500
Ta 0.537 0.799 0.500
Ta 0.542 0.542 0.000
Ta 0.738 0.201 0.500
Ta 0.799 0.537 0.500
Fe 0.333 0.667 0.000
Fe 0.667 0.333 0.000
S 0.000 0.275 0.500
S 0.000 0.706 0.000
S 0.275 0.000 0.500
S 0.294 0.294 0.000
S 0.706 0.000 0.000
S 0.725 0.725 0.500

Top 10 peaks for 15° ≤ 2θ ≤ 90°, sorted by position:
index  d [Å]  two_theta  Rel. int.
2 1 0  3.390  26.29  156
2 0 1  2.667  33.60  601
3 1 0  2.487  36.11  591
2 1 1  2.371  37.94  1000
4 0 0  2.242  40.22  398
3 0 1  2.221  40.62  181
2 2 1  2.041  44.38  416
3 3 1  1.531  60.46  156
5 1 1  1.449  64.28  242
3 1 2  1.380  67.91  191